[1]
Structure and computed PXRD pattern of Dy7ThSc3 (a PBE-relaxed structure; λ = 1.5418 Å (Cu Kα)).
Neutral-atom scattering factors, no anomalous dispersion.

Structure:
```
data_Dy7ThSc3
_chemical_formula_sum 'Dy7 Th1 Sc3'
_cell_length_a 6.9507
_cell_length_b 6.9507
_cell_length_c 8.2589
_cell_angle_alpha 90.00
_cell_angle_beta 90.00
_cell_angle_gamma 120.00
_symmetry_space_group_name_H-M 'P 3 m 1'
_symmetry_Int_Tables_number 156
_symmetry_space_group_name_Hall 'P 3 -2"'
loop_
_atom_site_label
_atom_site_fract_x
_atom_site_fract_y
_atom_site_fract_z
Dy1 0.0000 0.0000 0.0000
Dy2 0.1655 0.3309 0.6494
Dy3 0.5026 0.0053 0.9995
Th1 0.6667 0.3333 0.6568
Sc1 0.3381 0.1690 0.3288
```

Largest 6 diffraction maxima, in order of rising 2θ, 5 to 70 degrees two-theta:
| index | Position (°2θ) | I_rel |
| --- | --- | --- |
| 0 0 1 | 10.71 | 36 |
| 2 0 1 | 31.64 | 100 |
| 0 0 3 | 32.52 | 26 |
| 0 2 2 | 36.96 | 61 |
| 2 0 4 | 53.86 | 28 |
| 2 2 3 | 63.29 | 23 |

[2]
Structure and computed PXRD pattern of Dy2ThSc6 (a PBE-relaxed structure; λ = 1.5418 Å (Cu Kα)).
Neutral-atom scattering factors, no anomalous dispersion.

Structure:
```
data_Dy2ThSc6
_chemical_formula_sum 'Dy2 Th1 Sc6'
_cell_length_a 9.1697
_cell_length_b 9.1697
_cell_length_c 3.3277
_cell_angle_alpha 90.00
_cell_angle_beta 90.00
_cell_angle_gamma 120.00
_symmetry_space_group_name_H-M 'P -6 2 m'
_symmetry_Int_Tables_number 189
_symmetry_space_group_name_Hall 'P -6 -2'
loop_
_atom_site_label
_atom_site_fract_x
_atom_site_fract_y
_atom_site_fract_z
Dy1 0.3333 0.6667 0.0000
Th1 0.0000 0.0000 0.5000
Sc1 0.0000 0.3544 0.5000
Sc2 0.0000 0.6844 0.0000
```

Largest 6 diffraction maxima, in order of rising 2θ, 5 to 70 degrees two-theta:
| index | Position (°2θ) | I_rel |
| --- | --- | --- |
| 1 1 0 | 19.36 | 100 |
| 1 0 1 | 29.10 | 61 |
| 3 0 0 | 33.86 | 99 |
| 2 0 1 | 35.19 | 49 |
| 2 1 1 | 40.47 | 59 |
| 3 0 2 | 66.36 | 27 |

[3]
Structure and computed PXRD pattern of Dy3Th2Sc8 (a PBE-relaxed structure; λ = 1.5418 Å (Cu Kα)).
Neutral-atom scattering factors, no anomalous dispersion.

Structure:
```
data_Dy3Th2Sc8
_chemical_formula_sum 'Dy9 Th6 Sc24'
_cell_length_a 6.1667
_cell_length_b 6.1667
_cell_length_c 33.9716
_cell_angle_alpha 90.00
_cell_angle_beta 90.00
_cell_angle_gamma 120.00
_symmetry_space_group_name_H-M 'R -3 m'
_symmetry_Int_Tables_number 166
_symmetry_space_group_name_Hall '-R 3 2"'
loop_
_atom_site_label
_atom_site_fract_x
_atom_site_fract_y
_atom_site_fract_z
Dy1 0.0000 0.0000 0.0000
Dy2 0.0000 0.0000 0.1855
Th1 0.0000 0.0000 0.3634
Sc1 0.0000 0.0000 0.2736
Sc2 0.0009 0.5005 0.7734
```

Largest 6 diffraction maxima, in order of rising 2θ, 5 to 70 degrees two-theta:
| index | Position (°2θ) | I_rel |
| --- | --- | --- |
| 0 1 5 | 21.16 | 64 |
| 1 1 0 | 28.96 | 100 |
| 1 1 6 | 33.08 | 58 |
| 0 1 11 | 33.52 | 96 |
| 2 0 5 | 36.14 | 37 |
| 1 2 11 | 54.29 | 48 |

[4]
Structure and computed PXRD pattern of DyThSc4 (a PBE-relaxed structure; λ = 1.5418 Å (Cu Kα)).
Neutral-atom scattering factors, no anomalous dispersion.

Structure:
```
data_DyThSc4
_chemical_formula_sum 'Dy2 Th2 Sc8'
_cell_length_a 5.2857
_cell_length_b 6.5782
_cell_length_c 9.2210
_cell_angle_alpha 90.00
_cell_angle_beta 90.00
_cell_angle_gamma 90.00
_symmetry_space_group_name_H-M 'I m m m'
_symmetry_Int_Tables_number 71
_symmetry_space_group_name_Hall '-I 2 2'
loop_
_atom_site_label
_atom_site_fract_x
_atom_site_fract_y
_atom_site_fract_z
Dy1 0.0000 0.0000 0.0000
Th1 0.0000 0.5000 0.0000
Sc1 0.0000 0.2499 0.3331
```

Largest 6 diffraction maxima, in order of rising 2θ, 5 to 70 degrees two-theta:
| index | Position (°2θ) | I_rel |
| --- | --- | --- |
| 0 0 2 | 19.25 | 24 |
| 1 0 1 | 19.36 | 48 |
| 0 2 2 | 33.51 | 100 |
| 1 0 3 | 33.73 | 46 |
| 2 0 0 | 33.92 | 23 |
| 2 2 2 | 48.39 | 24 |

[5]
Structure and computed PXRD pattern of DyTh14Sc (a PBE-relaxed structure; λ = 1.5418 Å (Cu Kα)).
Neutral-atom scattering factors, no anomalous dispersion.

Structure:
```
data_DyTh14Sc
_chemical_formula_sum 'Dy2 Th28 Sc2'
_cell_length_a 11.5205
_cell_length_b 7.1455
_cell_length_c 12.3690
_cell_angle_alpha 90.00
_cell_angle_beta 90.00
_cell_angle_gamma 90.00
_symmetry_space_group_name_H-M 'A m m 2'
_symmetry_Int_Tables_number 38
_symmetry_space_group_name_Hall 'A 2 -2'
loop_
_atom_site_label
_atom_site_fract_x
_atom_site_fract_y
_atom_site_fract_z
Dy1 0.0000 0.0000 0.0000
Th1 0.0000 0.2483 0.7549
Th2 0.2474 0.2487 0.5851
Th3 0.2483 0.0000 0.3366
Th4 0.2513 0.0000 0.8357
Th5 0.5000 0.0000 0.1678
Th6 0.5000 0.0000 0.6675
Th7 0.5000 0.2494 0.4184
Sc1 0.0000 0.0000 0.5002
```

Largest 6 diffraction maxima, in order of rising 2θ, 5 to 70 degrees two-theta:
| index | Position (°2θ) | I_rel |
| --- | --- | --- |
| 1 0 4 | 29.91 | 35 |
| 4 0 0 | 31.05 | 32 |
| 2 2 2 | 32.87 | 100 |
| 0 4 0 | 51.15 | 25 |
| 6 2 2 | 56.40 | 22 |
| 4 4 0 | 61.05 | 30 |

[6]
Structure and computed PXRD pattern of Dy5Th4Sc4 (a PBE-relaxed structure; λ = 1.5418 Å (Cu Kα)).
Neutral-atom scattering factors, no anomalous dispersion.

Structure:
```
data_Dy5Th4Sc4
_chemical_formula_sum 'Dy10 Th8 Sc8'
_cell_length_a 12.4634
_cell_length_b 12.4634
_cell_length_c 4.9540
_cell_angle_alpha 90.00
_cell_angle_beta 90.00
_cell_angle_gamma 90.00
_symmetry_space_group_name_H-M 'I 4/m'
_symmetry_Int_Tables_number 87
_symmetry_space_group_name_Hall '-I 4'
loop_
_atom_site_label
_atom_site_fract_x
_atom_site_fract_y
_atom_site_fract_z
Dy1 0.0000 0.0000 0.0000
Dy2 0.0408 0.8066 0.5000
Th1 0.0760 0.6184 0.0000
Sc1 0.1548 0.2338 0.0000
```

Largest 6 diffraction maxima, in order of rising 2θ, 5 to 70 degrees two-theta:
| index | Position (°2θ) | I_rel |
| --- | --- | --- |
| 2 3 1 | 31.56 | 100 |
| 0 0 2 | 36.27 | 17 |
| 5 1 0 | 36.77 | 34 |
| 5 1 2 | 52.60 | 25 |
| 2 3 3 | 62.31 | 14 |
| 7 4 1 | 62.99 | 28 |

[7]
Structure and computed PXRD pattern of Dy5Th2Sc3 (a PBE-relaxed structure; λ = 1.5418 Å (Cu Kα)).
Neutral-atom scattering factors, no anomalous dispersion.

Structure:
```
data_Dy5Th2Sc3
_chemical_formula_sum 'Dy20 Th8 Sc12'
_cell_length_a 9.7898
_cell_length_b 13.7737
_cell_length_c 9.7542
_cell_angle_alpha 90.00
_cell_angle_beta 111.96
_cell_angle_gamma 90.00
_symmetry_space_group_name_H-M 'C 1 2/c 1'
_symmetry_Int_Tables_number 15
_symmetry_space_group_name_Hall '-C 2yc'
loop_
_atom_site_label
_atom_site_fract_x
_atom_site_fract_y
_atom_site_fract_z
Dy1 0.0000 0.0157 0.2500
Dy2 0.0000 0.2477 0.2500
Dy3 0.0000 0.4780 0.2500
Dy4 0.1561 0.3743 0.5941
Th1 0.2479 0.1243 0.9973
Sc1 0.0000 0.2432 0.7500
Sc2 0.1591 0.1195 0.5921
```

Largest 6 diffraction maxima, in order of rising 2θ, 5 to 70 degrees two-theta:
| index | Position (°2θ) | I_rel |
| --- | --- | --- |
| 2 0 -2 | 21.95 | 26 |
| 3 1 -1 | 28.13 | 29 |
| 1 1 -3 | 28.23 | 27 |
| 2 4 0 | 32.66 | 100 |
| 2 0 2 | 32.76 | 40 |
| 1 3 -3 | 33.76 | 21 |

[8]
Structure and computed PXRD pattern of Dy8ThSc5 (a PBE-relaxed structure; λ = 1.5418 Å (Cu Kα)).
Neutral-atom scattering factors, no anomalous dispersion.

Structure:
```
data_Dy8ThSc5
_chemical_formula_sum 'Dy16 Th2 Sc10'
_cell_length_a 14.2749
_cell_length_b 8.3359
_cell_length_c 9.0242
_cell_angle_alpha 90.00
_cell_angle_beta 128.29
_cell_angle_gamma 90.00
_symmetry_space_group_name_H-M 'C 1 2 1'
_symmetry_Int_Tables_number 5
_symmetry_space_group_name_Hall 'C 2y'
loop_
_atom_site_label
_atom_site_fract_x
_atom_site_fract_y
_atom_site_fract_z
Dy1 0.0530 0.0000 0.2048
Dy2 0.1564 0.3559 0.1178
Dy3 0.1864 0.6589 0.4610
Dy4 0.2489 0.3057 0.8407
Th1 0.0000 0.9727 0.5000
Sc1 0.0000 0.6623 0.0000
Sc2 0.0452 0.3262 0.3759
Sc3 0.0973 0.6354 0.7350
```

Largest 6 diffraction maxima, in order of rising 2θ, 5 to 70 degrees two-theta:
| index | Position (°2θ) | I_rel |
| --- | --- | --- |
| 3 1 0 | 26.15 | 41 |
| 2 2 0 | 26.66 | 45 |
| 3 1 -3 | 31.63 | 40 |
| 5 1 -2 | 33.19 | 100 |
| 2 2 1 | 33.56 | 50 |
| 2 2 -3 | 37.64 | 35 |